[1]
Simulated powder XRD pattern
Compound: CsSnCl5
Radiation: CuKα
Structure: a GGA-PBE-relaxed structure
No peak broadening, texture or thermal motion is included.

Crystal structure
```
data_CsSnCl5
_cell_length_a 13.516
_cell_length_b 7.533
_cell_length_c 10.624
_cell_angle_alpha 90.00
_cell_angle_beta 113.06
_cell_angle_gamma 90.00
_space_group_name_H-M_alt 'C 1 2/c 1'
_space_group_IT_number 15
loop_
_space_group_symop_operation_xyz
'x,y,z'
'-x,-y,-z'
'-x,y,-z+1/2'
'x,-y,z+1/2'
'x+1/2,y+1/2,z'
'-x+1/2,-y+1/2,-z'
'-x+1/2,y+1/2,-z+1/2'
'x+1/2,-y+1/2,z+1/2'
loop_
_atom_site_label
_atom_site_type_symbol
_atom_site_fract_x
_atom_site_fract_y
_atom_site_fract_z
Cs1 Cs 0.000 0.000 0.250
Sn1 Sn 0.000 0.500 0.000
Cl1 Cl 0.000 0.499 0.250
Cl2 Cl 0.136 0.270 0.068
Cl3 Cl 0.137 0.273 0.569
```

Principal peaks in the range 2θ = 10–90°, in order of falling intensity:
(2 0 0), 2θ = 14.24°, rel. 100.0
(1 1 2), 2θ = 25.02°, rel. 66.7
(1 1 -2), 2θ = 20.46°, rel. 66.6
(2 2 0), 2θ = 27.69°, rel. 55.9
(4 2 0), 2θ = 37.51°, rel. 45.1
(2 2 4), 2θ = 51.34°, rel. 34.8
(2 0 -4), 2θ = 33.75°, rel. 32.3
(4 2 -4), 2θ = 44.19°, rel. 30.4
(3 1 2), 2θ = 35.52°, rel. 23.6
(0 0 4), 2θ = 36.80°, rel. 19.5

***

[2]
Simulated powder XRD pattern
Compound: Y7GaSe5
Radiation: CuKα
Structure: a GGA-PBE-relaxed structure
No peak broadening, texture or thermal motion is included.

Crystal structure
```
data_Y7GaSe5
_cell_length_a 4.028
_cell_length_b 24.201
_cell_length_c 7.014
_cell_angle_alpha 90.00
_cell_angle_beta 106.67
_cell_angle_gamma 90.00
_space_group_name_H-M_alt 'P 1 21/m 1'
_space_group_IT_number 11
loop_
_space_group_symop_operation_xyz
'x,y,z'
'-x,-y,-z'
'-x,y+1/2,-z'
'x,-y+1/2,z'
loop_
_atom_site_label
_atom_site_type_symbol
_atom_site_fract_x
_atom_site_fract_y
_atom_site_fract_z
Y1 Y 0.030 0.250 0.059
Y2 Y 0.139 0.537 0.278
Y3 Y 0.309 0.180 0.619
Y4 Y 0.407 0.618 0.813
Ga1 Ga 0.308 0.750 0.617
Se1 Se 0.052 0.642 0.104
Se2 Se 0.224 0.072 0.447
Se3 Se 0.500 0.000 0.000
```

Principal peaks in the range 2θ = 10–90°, in order of falling intensity:
(1 2 -2), 2θ = 30.75°, rel. 100.0
(1 3 1), 2θ = 31.87°, rel. 67.0
(0 5 3), 2θ = 44.62°, rel. 61.8
(0 7 1), 2θ = 29.05°, rel. 59.0
(0 8 1), 2θ = 32.46°, rel. 42.0
(1 9 0), 2θ = 40.91°, rel. 40.9
(2 0 -1), 2θ = 45.01°, rel. 37.3
(1 1 1), 2θ = 30.06°, rel. 32.9
(0 4 3), 2θ = 43.10°, rel. 26.0
(1 10 0), 2θ = 44.18°, rel. 25.4

***

[3]
Simulated powder XRD pattern
Compound: Tb2CeAu4
Radiation: CuKα
Structure: a GGA-PBE-relaxed structure
No peak broadening, texture or thermal motion is included.

Crystal structure
```
data_Tb2CeAu4
_cell_length_a 7.228
_cell_length_b 7.228
_cell_length_c 6.947
_cell_angle_alpha 90.00
_cell_angle_beta 90.00
_cell_angle_gamma 90.00
_space_group_name_H-M_alt 'I 4/m m m'
_space_group_IT_number 139
_space_group_name_Hall '-I 4 2'
loop_
_atom_site_label
_atom_site_type_symbol
_atom_site_fract_x
_atom_site_fract_y
_atom_site_fract_z
Tb1 Tb 0.000 0.500 0.000
Ce1 Ce 0.000 0.000 0.000
Au1 Au 0.250 0.250 0.250
```

Principal peaks in the range 2θ = 10–90°, in order of falling intensity:
(2 0 2), 2θ = 35.86°, rel. 100.0
(2 2 0), 2θ = 35.12°, rel. 52.9
(4 2 2), 2θ = 63.48°, rel. 38.5
(4 0 0), 2θ = 50.51°, rel. 19.1
(2 2 4), 2θ = 64.92°, rel. 18.0
(4 0 4), 2θ = 76.00°, rel. 11.6
(2 0 0), 2θ = 24.63°, rel. 9.3
(6 2 0), 2θ = 84.84°, rel. 9.1
(6 0 2), 2θ = 85.27°, rel. 8.8
(0 0 4), 2θ = 52.71°, rel. 8.4

***

[4]
Simulated powder XRD pattern
Compound: Y2Er5Sc4
Radiation: CuKα
Structure: a GGA-PBE-relaxed structure
No peak broadening, texture or thermal motion is included.

Crystal structure
```
data_Y2Er5Sc4
_cell_length_a 8.652
_cell_length_b 3.491
_cell_length_c 10.736
_cell_angle_alpha 90.00
_cell_angle_beta 95.23
_cell_angle_gamma 90.00
_space_group_name_H-M_alt 'P 1 2/m 1'
_space_group_IT_number 10
loop_
_space_group_symop_operation_xyz
'x,y,z'
'-x,-y,-z'
'-x,y,-z'
'x,-y,z'
loop_
_atom_site_label
_atom_site_type_symbol
_atom_site_fract_x
_atom_site_fract_y
_atom_site_fract_z
Y1 Y 0.075 0.000 0.138
Er1 Er 0.148 0.000 0.633
Er2 Er 0.454 0.000 0.169
Er3 Er 0.500 0.000 0.500
Sc1 Sc 0.202 0.500 0.373
Sc2 Sc 0.251 0.500 0.927
```

Principal peaks in the range 2θ = 10–90°, in order of falling intensity:
(0 1 0), 2θ = 25.52°, rel. 100.0
(2 0 -3), 2θ = 31.11°, rel. 96.4
(2 1 -3), 2θ = 40.65°, rel. 69.7
(1 1 2), 2θ = 32.85°, rel. 60.7
(2 1 0), 2θ = 33.03°, rel. 58.0
(1 0 3), 2θ = 27.95°, rel. 52.2
(2 0 3), 2θ = 34.07°, rel. 52.0
(1 1 -2), 2θ = 31.84°, rel. 48.8
(3 0 2), 2θ = 36.86°, rel. 41.9
(1 1 3), 2θ = 38.21°, rel. 33.6

***

[5]
Simulated powder XRD pattern
Compound: LiEr2Ni12B3
Radiation: CuKα
Structure: a GGA-PBE-relaxed structure
No peak broadening, texture or thermal motion is included.

Crystal structure
```
data_LiEr2Ni12B3
_cell_length_a 7.2001
_cell_length_b 7.2001
_cell_length_c 15.3819
_cell_angle_alpha 90.00
_cell_angle_beta 90.00
_cell_angle_gamma 120.00
_space_group_name_H-M_alt 'R -3 m'
_space_group_IT_number 166
_space_group_name_Hall '-R 3 2"'
loop_
_atom_site_label
_atom_site_type_symbol
_atom_site_fract_x
_atom_site_fract_y
_atom_site_fract_z
Li1 Li 0.0000 0.0000 0.0000
Er1 Er 0.0000 0.0000 0.4006
Ni1 Ni 0.0196 0.5098 0.3758
Ni2 Ni 0.0641 0.5321 0.8112
B1 B 0.0000 0.5000 0.5000
```

Principal peaks in the range 2θ = 10–90°, in order of falling intensity:
(2 0 5), 2θ = 41.23°, rel. 100.0
(0 2 4), 2θ = 37.12°, rel. 63.0
(2 2 0), 2θ = 50.72°, rel. 59.4
(0 2 1), 2θ = 29.23°, rel. 58.2
(1 2 2), 2θ = 40.01°, rel. 35.4
(2 1 1), 2θ = 38.65°, rel. 31.1
(1 0 1), 2θ = 15.33°, rel. 25.2
(1 1 6), 2θ = 43.33°, rel. 22.7
(1 0 4), 2θ = 27.25°, rel. 22.0
(3 2 7), 2θ = 80.02°, rel. 15.5

***

[6]
Simulated powder XRD pattern
Compound: K3Cu2SbBr9
Radiation: CuKα
Structure: a GGA-PBE-relaxed structure
No peak broadening, texture or thermal motion is included.

Crystal structure
```
data_K3Cu2SbBr9
_cell_length_a 7.5636
_cell_length_b 7.5636
_cell_length_c 9.3597
_cell_angle_alpha 90.00
_cell_angle_beta 90.00
_cell_angle_gamma 120.00
_space_group_name_H-M_alt 'P -3 m 1'
_space_group_IT_number 164
_space_group_name_Hall '-P 3 2"'
loop_
_atom_site_label
_atom_site_type_symbol
_atom_site_fract_x
_atom_site_fract_y
_atom_site_fract_z
K1 K 0.0000 0.0000 0.0000
K2 K 0.3333 0.6667 0.7013
Cu1 Cu 0.3333 0.6667 0.1451
Sb1 Sb 0.0000 0.0000 0.5000
Br1 Br 0.0000 0.5000 0.0000
Br2 Br 0.1719 0.3437 0.3242
```

Principal peaks in the range 2θ = 10–90°, in order of falling intensity:
(2 0 2), 2θ = 33.39°, rel. 100.0
(1 0 1), 2θ = 16.52°, rel. 69.0
(0 2 1), 2θ = 28.88°, rel. 44.7
(2 2 0), 2θ = 48.12°, rel. 34.8
(0 2 4), 2θ = 47.77°, rel. 32.1
(2 1 1), 2θ = 37.58°, rel. 18.6
(1 1 3), 2θ = 37.37°, rel. 17.8
(0 4 2), 2θ = 59.84°, rel. 17.3
(4 2 2), 2θ = 80.21°, rel. 14.6
(0 0 3), 2θ = 28.61°, rel. 14.4